Entry 1:
Diffraction record for K3Er2Cl9. The PXRD pattern is calculated, not measured: it uses the GGA-PBE geometry in Alexandria and Cu Kα X-rays.
Peak positions follow from Bragg's law for the DFT cell and can differ from measured ones.

Top 8 peaks for 2θ from 10° to 90°, in order of rising 2θ:
Position (°2θ)  I (rel.)
13.71  100
21.16  27
23.87  32
25.30  22
28.89  21
31.42  37
36.83  20
40.92  26

Cell and atoms:
```
data_K3Er2Cl9
_symmetry_space_group_name_H-M 'P 1'
_symmetry_Int_Tables_number 1
_symmetry_space_group_name_Hall 'P 1'
_cell_length_a 9.5955
_cell_length_b 9.5955
_cell_length_c 9.5955
_cell_angle_alpha 84.58
_cell_angle_beta 84.58
_cell_angle_gamma 84.58
loop_
_atom_site_label
_atom_site_fract_x
_atom_site_fract_y
_atom_site_fract_z
K1 0.0633 0.7500 0.4367
K2 0.2500 0.5633 0.9367
K3 0.4367 0.0633 0.7500
K4 0.5633 0.9367 0.2500
K5 0.7500 0.4367 0.0633
K6 0.9367 0.2500 0.5633
Er1 0.1465 0.1465 0.1465
Er2 0.3535 0.3535 0.3535
Er3 0.6465 0.6465 0.6465
Er4 0.8535 0.8535 0.8535
Cl1 0.0657 0.2750 0.9210
Cl2 0.0790 0.9343 0.7250
Cl3 0.0967 0.4033 0.2500
Cl4 0.2250 0.4343 0.5790
Cl5 0.2500 0.0967 0.4033
Cl6 0.2750 0.9210 0.0657
Cl7 0.4033 0.2500 0.0967
Cl8 0.4210 0.7750 0.5657
Cl9 0.4343 0.5790 0.2250
Cl10 0.5657 0.4210 0.7750
Cl11 0.5790 0.2250 0.4343
Cl12 0.5967 0.7500 0.9033
Cl13 0.7250 0.0790 0.9343
Cl14 0.7500 0.9033 0.5967
Cl15 0.7750 0.5657 0.4210
Cl16 0.9033 0.5967 0.7500
Cl17 0.9210 0.0657 0.2750
Cl18 0.9343 0.7250 0.0790
```


Entry 2:
Diffraction record for Tl3BC. The PXRD pattern is calculated, not measured: it uses the GGA-PBE geometry in Alexandria and Cu Kα X-rays.
Peak positions follow from Bragg's law for the DFT cell and can differ from measured ones.

Top 8 peaks for 2θ from 10° to 90°, in order of rising 2θ:
Position (°2θ)  I (rel.)
18.13  31
25.75  22
31.68  100
36.74  53
52.94  38
63.02  43
86.77  19
89.62  18

Cell and atoms:
```
data_Tl3BC
_symmetry_space_group_name_H-M 'P 1'
_symmetry_Int_Tables_number 1
_symmetry_space_group_name_Hall 'P 1'
_cell_length_a 4.8921
_cell_length_b 4.8921
_cell_length_c 4.8921
_cell_angle_alpha 90.00
_cell_angle_beta 90.00
_cell_angle_gamma 90.00
loop_
_atom_site_label
_atom_site_fract_x
_atom_site_fract_y
_atom_site_fract_z
Tl1 0.0000 0.0000 0.5000
Tl2 0.0000 0.5000 0.0000
Tl3 0.5000 0.0000 0.0000
B1 0.0000 0.0000 0.0000
C1 0.5000 0.5000 0.5000
```


Entry 3:
Diffraction record for Nb3VTc. The PXRD pattern is calculated, not measured: it uses the GGA-PBE geometry in Alexandria and Cu Kα X-rays.
Peak positions follow from Bragg's law for the DFT cell and can differ from measured ones.

Top 8 peaks for 2θ from 10° to 90°, in order of rising 2θ:
Position (°2θ)  I (rel.)
39.26  35
39.71  67
39.87  100
57.43  11
57.78  11
71.64  11
72.29  11
72.54  21

Cell and atoms:
```
data_Nb3VTc
_symmetry_space_group_name_H-M 'P 1'
_symmetry_Int_Tables_number 1
_symmetry_space_group_name_Hall 'P 1'
_cell_length_a 5.3694
_cell_length_b 5.3694
_cell_length_c 10.1050
_cell_angle_alpha 90.52
_cell_angle_beta 90.52
_cell_angle_gamma 34.58
loop_
_atom_site_label
_atom_site_fract_x
_atom_site_fract_y
_atom_site_fract_z
Nb1 0.1443 0.1443 0.0463
Nb2 0.2540 0.2540 0.7501
Nb3 0.3560 0.3560 0.4505
Nb4 0.6440 0.6440 0.5495
Nb5 0.7460 0.7460 0.2499
Nb6 0.8557 0.8557 0.9537
V1 0.4514 0.4514 0.1546
V2 0.5486 0.5486 0.8454
Tc1 0.0477 0.0477 0.3468
Tc2 0.9523 0.9523 0.6532
```


Entry 4:
Diffraction record for Pr7Er12In. The PXRD pattern is calculated, not measured: it uses the GGA-PBE geometry in Alexandria and Cu Kα X-rays.
Peak positions follow from Bragg's law for the DFT cell and can differ from measured ones.

Top 8 peaks for 2θ from 10° to 90°, in order of rising 2θ:
Position (°2θ)  I (rel.)
30.74  100
30.80  33
35.56  45
35.86  22
51.25  16
51.46  16
60.83  14
60.94  24

Cell and atoms:
```
data_Pr7Er12In
_symmetry_space_group_name_H-M 'P 1'
_symmetry_Int_Tables_number 1
_symmetry_space_group_name_Hall 'P 1'
_cell_length_a 6.1728
_cell_length_b 9.3891
_cell_length_c 11.8247
_cell_angle_alpha 106.33
_cell_angle_beta 99.76
_cell_angle_gamma 96.64
loop_
_atom_site_label
_atom_site_fract_x
_atom_site_fract_y
_atom_site_fract_z
Pr1 0.0000 0.0000 0.0000
Pr2 0.2961 0.1995 0.3018
Pr3 0.3445 0.3999 0.8507
Pr4 0.4005 0.6075 0.4016
Pr5 0.5995 0.3925 0.5984
Pr6 0.6555 0.6001 0.1493
Pr7 0.7039 0.8005 0.6982
Er1 0.0411 0.1921 0.5477
Er2 0.0979 0.4014 0.0987
Er3 0.1460 0.5950 0.6486
Er4 0.2011 0.8031 0.2033
Er5 0.2581 0.9987 0.7473
Er6 0.4463 0.8025 0.9513
Er7 0.5537 0.1975 0.0487
Er8 0.7419 0.0013 0.2527
Er9 0.7989 0.1969 0.7967
Er10 0.8540 0.4050 0.3514
Er11 0.9021 0.5986 0.9013
Er12 0.9589 0.8079 0.4523
In1 0.5000 0.0000 0.5000
```


Entry 5:
Diffraction record for LiGaSe2. The PXRD pattern is calculated, not measured: it uses the GGA-PBE geometry in Alexandria and Cu Kα X-rays.
Peak positions follow from Bragg's law for the DFT cell and can differ from measured ones.

Top 8 peaks for 2θ from 10° to 90°, in order of rising 2θ:
Position (°2θ)  I (rel.)
18.02  61
25.62  100
26.73  90
27.89  52
28.95  93
43.71  80
48.60  73
51.98  62

Cell and atoms:
```
data_LiGaSe2
_symmetry_space_group_name_H-M 'P 1'
_symmetry_Int_Tables_number 1
_symmetry_space_group_name_Hall 'P 1'
_cell_length_a 3.9566
_cell_length_b 6.6710
_cell_length_c 7.2912
_cell_angle_alpha 90.00
_cell_angle_beta 90.06
_cell_angle_gamma 90.00
loop_
_atom_site_label
_atom_site_fract_x
_atom_site_fract_y
_atom_site_fract_z
Li1 0.0017 0.0000 0.3317
Li2 0.9983 0.5000 0.6683
Ga1 0.4993 0.0023 0.8467
Ga2 0.5007 0.5023 0.1533
Se1 0.0011 0.6155 0.3274
Se2 0.4987 0.6353 0.8440
Se3 0.5013 0.1353 0.1560
Se4 0.9989 0.1155 0.6726
```


Entry 6:
Diffraction record for Ce6Rh5Au. The PXRD pattern is calculated, not measured: it uses the GGA-PBE geometry in Alexandria and Cu Kα X-rays.
Peak positions follow from Bragg's law for the DFT cell and can differ from measured ones.

Top 8 peaks for 2θ from 10° to 90°, in order of rising 2θ:
Position (°2θ)  I (rel.)
31.20  100
44.52  12
44.64  24
44.76  24
44.92  12
55.69  12
65.07  11
74.01  11

Cell and atoms:
```
data_Ce6Rh5Au
_symmetry_space_group_name_H-M 'P 1'
_symmetry_Int_Tables_number 1
_symmetry_space_group_name_Hall 'P 1'
_cell_length_a 7.0046
_cell_length_b 7.0046
_cell_length_c 7.0209
_cell_angle_alpha 99.55
_cell_angle_beta 99.55
_cell_angle_gamma 119.61
loop_
_atom_site_label
_atom_site_fract_x
_atom_site_fract_y
_atom_site_fract_z
Ce1 0.0648 0.4132 0.7400
Ce2 0.2338 0.2338 0.2511
Ce3 0.4132 0.0648 0.7400
Ce4 0.5868 0.9352 0.2600
Ce5 0.7662 0.7662 0.7489
Ce6 0.9352 0.5868 0.2600
Rh1 0.0000 0.0000 0.5000
Rh2 0.1688 0.8312 0.0000
Rh3 0.3423 0.6577 0.5000
Rh4 0.6577 0.3423 0.5000
Rh5 0.8312 0.1688 0.0000
Au1 0.5000 0.5000 0.0000
```


Entry 7:
Diffraction record for Ca2Ge2SbRh5. The PXRD pattern is calculated, not measured: it uses the GGA-PBE geometry in Alexandria and Cu Kα X-rays.
Peak positions follow from Bragg's law for the DFT cell and can differ from measured ones.

Top 8 peaks for 2θ from 10° to 90°, in order of rising 2θ:
Position (°2θ)  I (rel.)
20.00  31
35.97  23
37.35  31
38.26  100
40.64  24
41.49  42
51.45  19
72.37  15

Cell and atoms:
```
data_Ca2Ge2SbRh5
_symmetry_space_group_name_H-M 'P 1'
_symmetry_Int_Tables_number 1
_symmetry_space_group_name_Hall 'P 1'
_cell_length_a 9.9280
_cell_length_b 9.9280
_cell_length_c 3.5520
_cell_angle_alpha 90.00
_cell_angle_beta 90.00
_cell_angle_gamma 90.00
loop_
_atom_site_label
_atom_site_fract_x
_atom_site_fract_y
_atom_site_fract_z
Ca1 0.1739 0.3261 0.0000
Ca2 0.3261 0.8261 0.0000
Ca3 0.6739 0.1739 0.0000
Ca4 0.8261 0.6739 0.0000
Ge1 0.1241 0.6241 0.0000
Ge2 0.3759 0.1241 0.0000
Ge3 0.6241 0.8759 0.0000
Ge4 0.8759 0.3759 0.0000
Sb1 0.0000 0.0000 0.0000
Sb2 0.5000 0.5000 0.0000
Rh1 0.0000 0.5000 0.5000
Rh2 0.0689 0.7904 0.5000
Rh3 0.2096 0.0689 0.5000
Rh4 0.2904 0.5689 0.5000
Rh5 0.4311 0.2904 0.5000
Rh6 0.5000 0.0000 0.5000
Rh7 0.5689 0.7096 0.5000
Rh8 0.7096 0.4311 0.5000
Rh9 0.7904 0.9311 0.5000
Rh10 0.9311 0.2096 0.5000
```


Entry 8:
Diffraction record for Sr2LiHgPd. The PXRD pattern is calculated, not measured: it uses the GGA-PBE geometry in Alexandria and Cu Kα X-rays.
Peak positions follow from Bragg's law for the DFT cell and can differ from measured ones.

Top 8 peaks for 2θ from 10° to 90°, in order of rising 2θ:
Position (°2θ)  I (rel.)
23.96  100
28.43  53
30.42  72
39.09  57
43.56  31
49.05  41
58.82  22
59.96  24

Cell and atoms:
```
data_Sr2LiHgPd
_symmetry_space_group_name_H-M 'P 1'
_symmetry_Int_Tables_number 1
_symmetry_space_group_name_Hall 'P 1'
_cell_length_a 5.8776
_cell_length_b 5.8776
_cell_length_c 4.7921
_cell_angle_alpha 90.00
_cell_angle_beta 90.00
_cell_angle_gamma 90.00
loop_
_atom_site_label
_atom_site_fract_x
_atom_site_fract_y
_atom_site_fract_z
Sr1 0.0000 0.5000 0.0000
Sr2 0.5000 0.0000 0.0000
Li1 0.0000 0.0000 0.5000
Hg1 0.5000 0.5000 0.5000
Pd1 0.0000 0.0000 0.0000
```


Entry 9:
Diffraction record for KPI4. The PXRD pattern is calculated, not measured: it uses the GGA-PBE geometry in Alexandria and Cu Kα X-rays.
Peak positions follow from Bragg's law for the DFT cell and can differ from measured ones.

Top 8 peaks for 2θ from 10° to 90°, in order of rising 2θ:
Position (°2θ)  I (rel.)
20.50  43
21.18  89
21.35  95
24.22  59
26.75  82
27.48  100
27.61  82
27.88  89

Cell and atoms:
```
data_KPI4
_symmetry_space_group_name_H-M 'P 1'
_symmetry_Int_Tables_number 1
_symmetry_space_group_name_Hall 'P 1'
_cell_length_a 5.3621
_cell_length_b 7.0311
_cell_length_c 8.3288
_cell_angle_alpha 84.24
_cell_angle_beta 89.93
_cell_angle_gamma 68.25
loop_
_atom_site_label
_atom_site_fract_x
_atom_site_fract_y
_atom_site_fract_z
K1 0.0000 0.0000 0.0000
P1 0.4322 0.9964 0.4994
I1 0.0146 0.2526 0.5983
I2 0.3017 0.7269 0.3885
I3 0.3814 0.2415 0.1932
I4 0.6145 0.7593 0.7995
```


Entry 10:
Diffraction record for TbNdTh14. The PXRD pattern is calculated, not measured: it uses the GGA-PBE geometry in Alexandria and Cu Kα X-rays.
Peak positions follow from Bragg's law for the DFT cell and can differ from measured ones.

Top 8 peaks for 2θ from 10° to 90°, in order of rising 2θ:
Position (°2θ)  I (rel.)
29.73  38
30.79  33
32.65  100
37.07  21
50.83  26
55.95  22
60.62  30
61.73  17

Cell and atoms:
```
data_TbNdTh14
_symmetry_space_group_name_H-M 'P 1'
_symmetry_Int_Tables_number 1
_symmetry_space_group_name_Hall 'P 1'
_cell_length_a 11.6141
_cell_length_b 7.1878
_cell_length_c 7.1878
_cell_angle_alpha 59.93
_cell_angle_beta 90.00
_cell_angle_gamma 90.00
loop_
_atom_site_label
_atom_site_fract_x
_atom_site_fract_y
_atom_site_fract_z
Tb1 0.0000 0.0000 0.0000
Nd1 0.0000 0.5005 0.5005
Th1 0.0000 0.4982 0.9964
Th2 0.0000 0.9964 0.4982
Th3 0.2515 0.1648 0.6660
Th4 0.2507 0.1657 0.1657
Th5 0.2515 0.6660 0.1648
Th6 0.2520 0.6662 0.6662
Th7 0.5000 0.3323 0.3323
Th8 0.5000 0.3320 0.8326
Th9 0.5000 0.8325 0.8325
Th10 0.5000 0.8326 0.3320
Th11 0.7480 0.6662 0.6662
Th12 0.7485 0.1648 0.6660
Th13 0.7493 0.1657 0.1657
Th14 0.7485 0.6660 0.1648
```


Entry 11:
Diffraction record for Pr4HoMg2. The PXRD pattern is calculated, not measured: it uses the GGA-PBE geometry in Alexandria and Cu Kα X-rays.
Peak positions follow from Bragg's law for the DFT cell and can differ from measured ones.

Top 8 peaks for 2θ from 10° to 90°, in order of rising 2θ:
Position (°2θ)  I (rel.)
15.77  24
21.24  14
23.44  22
31.84  100
33.39  44
47.94  16
55.72  20
58.70  35

Cell and atoms:
```
data_Pr4HoMg2
_symmetry_space_group_name_H-M 'P 1'
_symmetry_Int_Tables_number 1
_symmetry_space_group_name_Hall 'P 1'
_cell_length_a 7.5906
_cell_length_b 7.5906
_cell_length_c 8.3652
_cell_angle_alpha 90.00
_cell_angle_beta 90.00
_cell_angle_gamma 90.00
loop_
_atom_site_label
_atom_site_fract_x
_atom_site_fract_y
_atom_site_fract_z
Pr1 0.2500 0.2500 0.2500
Pr2 0.2500 0.2500 0.7500
Pr3 0.2500 0.7500 0.2500
Pr4 0.2500 0.7500 0.7500
Pr5 0.7500 0.2500 0.2500
Pr6 0.7500 0.2500 0.7500
Pr7 0.7500 0.7500 0.2500
Pr8 0.7500 0.7500 0.7500
Ho1 0.0000 0.0000 0.0000
Ho2 0.5000 0.5000 0.5000
Mg1 0.0000 0.5000 0.0000
Mg2 0.0000 0.5000 0.5000
Mg3 0.5000 0.0000 0.0000
Mg4 0.5000 0.0000 0.5000
```


Entry 12:
Diffraction record for Sr3Si2Pt4. The PXRD pattern is calculated, not measured: it uses the GGA-PBE geometry in Alexandria and Cu Kα X-rays.
Peak positions follow from Bragg's law for the DFT cell and can differ from measured ones.

Top 8 peaks for 2θ from 10° to 90°, in order of rising 2θ:
Position (°2θ)  I (rel.)
16.50  61
29.89  27
31.32  100
33.17  95
38.82  60
42.56  34
45.97  25
58.96  22

Cell and atoms:
```
data_Sr3Si2Pt4
_symmetry_space_group_name_H-M 'P 1'
_symmetry_Int_Tables_number 1
_symmetry_space_group_name_Hall 'P 1'
_cell_length_a 6.1723
_cell_length_b 6.1723
_cell_length_c 9.0808
_cell_angle_alpha 110.61
_cell_angle_beta 110.61
_cell_angle_gamma 40.26
loop_
_atom_site_label
_atom_site_fract_x
_atom_site_fract_y
_atom_site_fract_z
Sr1 0.0000 0.0000 0.0000
Sr2 0.3906 0.3906 0.3068
Sr3 0.6094 0.6094 0.6932
Si1 0.3294 0.3294 0.6945
Si2 0.6706 0.6706 0.3055
Pt1 0.1626 0.1626 0.4229
Pt2 0.2778 0.2778 0.9233
Pt3 0.7222 0.7222 0.0767
Pt4 0.8374 0.8374 0.5771
```


Entry 13:
Diffraction record for La7PrBr12. The PXRD pattern is calculated, not measured: it uses the GGA-PBE geometry in Alexandria and Cu Kα X-rays.
Peak positions follow from Bragg's law for the DFT cell and can differ from measured ones.

Top 8 peaks for 2θ from 10° to 90°, in order of rising 2θ:
Position (°2θ)  I (rel.)
11.06  37
29.19  100
29.47  13
40.65  39
42.84  31
50.82  19
67.02  16
70.15  11

Cell and atoms:
```
data_La7PrBr12
_symmetry_space_group_name_H-M 'P 1'
_symmetry_Int_Tables_number 1
_symmetry_space_group_name_Hall 'P 1'
_cell_length_a 9.8353
_cell_length_b 9.8353
_cell_length_c 9.8353
_cell_angle_alpha 108.91
_cell_angle_beta 108.91
_cell_angle_gamma 108.91
loop_
_atom_site_label
_atom_site_fract_x
_atom_site_fract_y
_atom_site_fract_z
La1 0.0000 0.0000 0.0000
La2 0.1477 0.4441 0.3582
La3 0.3582 0.1477 0.4441
La4 0.4441 0.3582 0.1477
La5 0.5559 0.6418 0.8523
La6 0.6418 0.8523 0.5559
La7 0.8523 0.5559 0.6418
Pr1 0.5000 0.5000 0.5000
Br1 0.0078 0.1013 0.3339
Br2 0.1013 0.3339 0.0078
Br3 0.1939 0.5746 0.7101
Br4 0.2899 0.8061 0.4254
Br5 0.3339 0.0078 0.1013
Br6 0.4254 0.2899 0.8061
Br7 0.5746 0.7101 0.1939
Br8 0.6661 0.9922 0.8987
Br9 0.7101 0.1939 0.5746
Br10 0.8061 0.4254 0.2899
Br11 0.8987 0.6661 0.9922
Br12 0.9922 0.8987 0.6661
```